# SmGa9Co3
Theoretical PXRD pattern, Cu Kα X-rays. Input: a cell relaxed with PBE.
No peak broadening, texture or thermal motion is included.

Principal peaks in the range 10° ≤ 2θ ≤ 90°, in order of falling intensity:
37.42°, intensity 100, hkl 7 1 -3
44.66°, intensity 49, hkl 0 2 0
33.56°, intensity 42, hkl 5 1 0
44.81°, intensity 29, hkl 7 1 -5
30.77°, intensity 26, hkl 3 1 1
40.19°, intensity 22, hkl 1 1 -4
38.41°, intensity 17, hkl 7 1 -1
44.97°, intensity 12, hkl 6 0 -6
51.56°, intensity 12, hkl 10 0 0
77.47°, intensity 12, hkl 7 3 -3
36.23°, intensity 11, hkl 6 0 1
42.71°, intensity 10, hkl 2 0 4

Cell: 21.4267 4.0588 12.0960 Å, 90.00 124.17 90.00°
Space group C2/m (No. 12)
One atom of each set of equivalent atoms:
Sm (0.0332, 0.0000, 0.2824) [4 per cell]
Ga (0.0000, 0.0000, 0.0000) [2 per cell]
Ga (0.0000, 0.0000, 0.5000) [2 per cell]
Ga (0.0829, 0.5000, 0.7275) [4 per cell]
Ga (0.0859, 0.5000, 0.9360) [4 per cell]
Ga (0.0934, 0.5000, 0.5266) [4 per cell]
Ga (0.0985, 0.5000, 0.1628) [4 per cell]
Ga (0.1745, 0.5000, 0.4272) [4 per cell]
Ga (0.1902, 0.0000, 0.9430) [4 per cell]
Ga (0.2023, 0.0000, 0.6102) [4 per cell]
Ga (0.2048, 0.0000, 0.2971) [4 per cell]
Co (0.1245, 0.0000, 0.0644) [4 per cell]
Co (0.1240, 0.0000, 0.6877) [4 per cell]
Co (0.2221, 0.5000, 0.1361) [4 per cell]